Diffraction record for Mn2CdWO6. The powder XRD pattern is theoretical, not measured: it uses a structure optimized by DFT (GGA+U) and CuKα.
No peak broadening, texture or thermal motion is included.

Main lines, in order of falling intensity (2θ from 5° to 70°):
hkl 1 1 1, 3.085 Å, rel. 100
hkl 0 0 1, 5.279 Å, rel. 44
hkl 2 0 0, 2.688 Å, rel. 38
hkl 1 1 0, 3.802 Å, rel. 31
hkl 3 1 1, 1.618 Å, rel. 29
hkl 2 2 0, 1.901 Å, rel. 24
hkl 1 1 2, 2.168 Å, rel. 23
hkl 2 0 2, 1.883 Å, rel. 18
hkl 1 0 1, 3.767 Å, rel. 16
hkl 3 1 2, 1.429 Å, rel. 12
hkl 1 0 2, 2.369 Å, rel. 11
hkl 2 1 3, 1.420 Å, rel. 10

```
data_Mn2CdWO6
_chemical_formula_sum 'Mn2 Cd1 W1 O6'
_cell_length_a 5.377
_cell_length_b 5.377
_cell_length_c 5.279
_cell_angle_alpha 90.00
_cell_angle_beta 90.00
_cell_angle_gamma 90.00
_symmetry_space_group_name_H-M 'P 4 m m'
_symmetry_Int_Tables_number 99
loop_
_symmetry_equiv_pos_as_xyz
'x,y,z'
'-y,x,z'
'-x,-y,z'
'y,-x,z'
'-x,y,z'
'y,x,z'
'x,-y,z'
'-y,-x,z'
loop_
_atom_site_label
_atom_site_type_symbol
_atom_site_fract_x
_atom_site_fract_y
_atom_site_fract_z
_atom_site_occupancy
Mn1 Mn 0.000 0.500 0.000 1
Cd1 Cd 0.000 0.000 0.565 1
W1 W 0.500 0.500 0.660 1
O1 O 0.000 0.000 0.174 1
O2 O 0.264 0.264 0.787 1
O3 O 0.500 0.500 0.318 1
```